Entry 1:
The following is a computed powder diffractogram of BNF8. It was derived from DFT lattice parameters and positions (PBE), using Cu Kα (λ = 1.5418 Å).
Intensities are scaled so that the largest is 100.

Cell and atoms:
```
40
Lattice="9.993 0.000 0.000 0.000 9.993 0.000 0.000 0.000 5.282" Properties=species:S:1:pos:R:3 pbc="T T T"
B 2.439 2.558 0.522
B 2.558 7.554 4.760
B 7.435 2.439 4.760
B 7.554 7.435 0.522
N 0.000 0.000 2.641
N 0.000 4.996 2.444
N 4.996 0.000 2.838
N 4.996 4.996 2.641
F 0.575 0.930 3.416
F 0.773 5.770 1.669
F 0.777 4.220 3.214
F 0.930 9.418 1.866
F 1.148 2.211 0.999
F 1.609 6.606 4.312
F 2.211 8.845 4.283
F 2.418 2.578 4.380
F 2.578 7.575 0.902
F 2.786 3.849 0.999
F 3.387 1.609 0.970
F 3.849 7.207 4.283
F 4.067 4.422 3.416
F 4.220 9.216 2.068
F 4.223 0.773 3.613
F 4.422 5.926 1.866
F 5.571 4.067 1.866
F 5.770 9.220 3.613
F 5.773 0.777 2.068
F 5.926 5.571 3.416
F 6.144 2.786 4.283
F 6.606 8.384 0.970
F 7.207 6.144 0.999
F 7.415 2.418 0.902
F 7.575 7.415 4.380
F 7.782 1.148 4.283
F 8.384 3.387 4.312
F 8.845 7.782 0.999
F 9.063 0.575 1.866
F 9.216 5.773 3.214
F 9.220 4.223 1.669
F 9.418 9.063 3.416
```

Peak list (10 most intense, 2θ from 5° to 70°, by intensity)
- 24.52 deg, intensity 100.0
- 25.21 deg, intensity 44.9
- 42.00 deg, intensity 40.4
- 44.72 deg, intensity 14.6
- 49.62 deg, intensity 10.3
- 48.71 deg, intensity 9.9
- 32.30 deg, intensity 9.4
- 40.97 deg, intensity 8.8
- 36.32 deg, intensity 8.3
- 64.85 deg, intensity 7.8

---

Entry 2:
The following is a computed powder diffractogram of TmPaO4. It was derived from DFT lattice parameters and positions (PBE), using Cu Kα (λ = 1.5418 Å).
Intensities are scaled so that the largest is 100.

Cell and atoms:
```
6
Lattice="3.789 0.000 0.000 0.000 3.789 0.000 0.000 0.000 5.336" Properties=species:S:1:pos:R:3 pbc="T T T"
Tm 0.000 0.000 0.000
Pa 1.895 1.895 2.668
O 0.000 1.895 1.367
O 0.000 1.895 3.968
O 1.895 0.000 1.367
O 1.895 0.000 3.968
```

Peak list (10 most intense, 2θ from 5° to 70°, by intensity)
- 28.90 deg, intensity 100.0
- 48.13 deg, intensity 33.3
- 57.02 deg, intensity 30.7
- 33.45 deg, intensity 23.5
- 48.02 deg, intensity 16.8
- 57.22 deg, intensity 15.2
- 33.59 deg, intensity 11.6
- 59.88 deg, intensity 10.0
- 16.61 deg, intensity 2.0
- 23.48 deg, intensity 1.7

---

Entry 3:
The following is a computed powder diffractogram of Na3HfMgP3O12. It was derived from DFT lattice parameters and positions (PBE), using Cu Kα (λ = 1.5418 Å).
Intensities are scaled so that the largest is 100.

Cell and atoms:
```
40
Lattice="7.799 -4.496 0.000 7.799 4.496 0.000 -5.112 0.000 7.371" Properties=species:S:1:pos:R:3 pbc="T T T"
Na 5.242 3.977 3.685
Na 0.048 1.002 7.071
Na 7.838 1.997 1.456
Na 2.604 -1.002 3.386
Na 5.282 -1.997 5.141
Na 7.799 -3.977 0.000
Hf 7.723 2.180 4.829
Hf 10.280 -2.180 1.144
Mg 2.562 2.251 5.683
Mg 5.118 -2.251 1.998
P 0.191 0.926 3.502
P -2.365 -0.926 7.188
P 4.820 0.957 3.388
P 2.264 -0.957 7.074
P 10.337 0.432 3.508
P 7.781 -0.432 7.193
O 1.057 1.268 2.220
O 1.204 3.129 7.072
O -2.435 0.660 7.164
O 0.910 1.392 4.758
O 4.151 1.500 2.061
O 4.001 3.043 7.085
O 0.121 -0.660 3.478
O 3.976 1.400 4.562
O -1.499 -1.268 5.905
O 6.233 1.658 3.440
O 2.400 0.564 7.016
O 3.466 -1.392 1.073
O 1.595 -1.500 5.746
O 4.956 -0.564 3.331
O 9.046 1.324 3.449
O 6.532 -1.400 0.877
O 7.691 0.524 5.952
O 3.676 -1.658 7.125
O 3.760 -3.129 3.386
O 10.247 -0.524 2.266
O 13.011 0.385 1.093
O 6.490 -1.324 7.134
O 6.557 -3.043 3.400
O 10.455 -0.385 4.778
```

Peak list (10 most intense, 2θ from 5° to 70°, by intensity)
- 19.67 deg, intensity 100.0
- 13.95 deg, intensity 93.3
- 34.52 deg, intensity 70.4
- 31.52 deg, intensity 57.6
- 19.77 deg, intensity 51.6
- 31.37 deg, intensity 47.7
- 13.82 deg, intensity 37.7
- 31.21 deg, intensity 35.8
- 24.18 deg, intensity 34.4
- 53.93 deg, intensity 28.7

---

Entry 4:
The following is a computed powder diffractogram of CaMgNiH4. It was derived from DFT lattice parameters and positions (PBE), using Cu Kα (λ = 1.5418 Å).
Intensities are scaled so that the largest is 100.

Cell and atoms:
```
28
Lattice="6.721 0.000 0.000 0.000 6.721 0.000 0.000 0.000 6.721" Properties=species:S:1:pos:R:3 pbc="T T T"
Ca 1.166 2.195 4.527
Ca 2.195 4.527 1.166
Ca 4.527 1.166 2.195
Ca 5.555 5.555 5.555
Mg 1.089 1.089 1.089
Mg 2.272 5.632 4.450
Mg 4.450 2.272 5.632
Mg 5.632 4.450 2.272
Ni 0.317 6.404 3.044
Ni 3.044 0.317 6.404
Ni 3.678 3.678 3.678
Ni 6.404 3.044 0.317
H 0.337 2.931 1.762
H 0.430 4.960 3.698
H 0.603 3.964 6.119
H 1.599 6.384 6.291
H 1.762 0.337 2.931
H 2.758 2.758 2.758
H 2.931 1.762 0.337
H 3.024 3.791 5.122
H 3.698 0.430 4.960
H 3.791 5.122 3.024
H 3.964 6.119 0.603
H 4.960 3.698 0.430
H 5.122 3.024 3.791
H 6.119 0.603 3.964
H 6.291 1.599 6.384
H 6.384 6.291 1.599
```

Peak list (10 most intense, 2θ from 5° to 70°, by intensity)
- 22.92 deg, intensity 100.0
- 29.72 deg, intensity 84.8
- 32.63 deg, intensity 72.6
- 37.86 deg, intensity 58.0
- 44.72 deg, intensity 51.5
- 50.83 deg, intensity 48.4
- 40.25 deg, intensity 46.5
- 56.45 deg, intensity 43.2
- 42.53 deg, intensity 32.9
- 63.42 deg, intensity 22.3

---

Entry 5:
The following is a computed powder diffractogram of As4S5. It was derived from DFT lattice parameters and positions (PBE), using Cu Kα (λ = 1.5418 Å).
Intensities are scaled so that the largest is 100.

Cell and atoms:
```
18
Lattice="8.094 0.000 0.000 0.000 8.477 0.000 -1.807 0.000 8.062" Properties=species:S:1:pos:R:3 pbc="T T T"
As -0.579 2.119 3.642
As 0.317 4.403 7.162
As 0.317 8.313 7.162
As 1.345 6.358 4.211
As 4.942 2.119 3.851
As 5.970 0.164 0.900
As 5.970 4.074 0.900
As 6.866 6.358 4.420
S -0.273 0.361 2.217
S -0.273 3.878 2.217
S 2.233 6.358 0.282
S 1.857 4.568 5.501
S 1.857 8.148 5.501
S 4.430 0.330 2.561
S 4.430 3.909 2.561
S 4.054 2.119 7.780
S 6.561 4.600 5.845
S 6.561 8.116 5.845
```

Peak list (10 most intense, 2θ from 5° to 70°, by intensity)
- 13.88 deg, intensity 100.0
- 15.33 deg, intensity 80.9
- 23.72 deg, intensity 71.6
- 27.34 deg, intensity 55.6
- 30.61 deg, intensity 54.5
- 50.18 deg, intensity 50.4
- 30.91 deg, intensity 45.5
- 27.23 deg, intensity 37.1
- 11.20 deg, intensity 35.9
- 27.96 deg, intensity 35.3

---

Entry 6:
The following is a computed powder diffractogram of Mn2NbP12. It was derived from DFT lattice parameters and positions (PBE), using Cu Kα (λ = 1.5418 Å).
Intensities are scaled so that the largest is 100.

Cell and atoms:
```
30
Lattice="8.057 -2.896 0.000 8.057 2.896 0.000 -4.624 0.000 9.634" Properties=species:S:1:pos:R:3 pbc="T T T"
Mn 0.707 1.796 9.194
Mn 8.469 1.796 5.257
Mn 3.019 -1.796 4.377
Mn 10.782 -1.796 0.440
Nb 4.588 1.134 7.226
Nb 6.901 -1.134 2.409
P -0.995 1.001 8.050
P 7.189 2.612 0.696
P 2.034 1.876 7.304
P 0.990 1.030 5.532
P 6.612 2.612 4.121
P 5.502 0.843 3.225
P 7.143 1.876 7.147
P 3.878 0.288 4.777
P 1.317 -1.001 3.233
P 3.302 -1.030 0.715
P 8.299 0.843 1.593
P 1.566 -0.288 9.594
P 9.923 0.288 0.040
P 3.190 -0.843 8.042
P 8.187 1.030 8.920
P 10.172 1.001 6.401
P 7.611 -0.288 4.857
P 4.346 -1.876 2.487
P 5.987 -0.843 6.410
P 4.877 -2.612 5.513
P 10.499 -1.030 4.102
P 9.455 -1.876 2.330
P 4.300 -2.612 8.938
P 12.484 -1.001 1.584
```

Peak list (10 most intense, 2θ from 5° to 70°, by intensity)
- 51.35 deg, intensity 100.0
- 34.68 deg, intensity 94.3
- 35.05 deg, intensity 81.9
- 50.92 deg, intensity 79.4
- 20.15 deg, intensity 78.6
- 32.04 deg, intensity 76.6
- 26.25 deg, intensity 53.9
- 33.11 deg, intensity 47.2
- 51.18 deg, intensity 41.9
- 30.14 deg, intensity 41.8

---

Entry 7:
The following is a computed powder diffractogram of SrMg6Mo. It was derived from DFT lattice parameters and positions (PBE), using Cu Kα (λ = 1.5418 Å).
Intensities are scaled so that the largest is 100.

Cell and atoms:
```
8
Lattice="5.155 0.000 0.000 0.000 3.287 5.675 0.000 -3.287 5.675" Properties=species:S:1:pos:R:3 pbc="T T T"
Sr 0.000 0.000 0.000
Mg 0.000 -1.526 2.765
Mg 0.000 1.526 2.765
Mg 0.000 0.000 5.603
Mg 2.578 -1.540 4.597
Mg 2.578 1.540 4.597
Mg 2.578 0.000 7.533
Mo 2.578 0.000 1.997
```

Peak list (10 most intense, 2θ from 5° to 70°, by intensity)
- 36.09 deg, intensity 100.0
- 15.58 deg, intensity 47.0
- 23.30 deg, intensity 31.5
- 34.81 deg, intensity 25.2
- 31.48 deg, intensity 24.4
- 32.36 deg, intensity 18.5
- 63.24 deg, intensity 18.4
- 47.63 deg, intensity 14.8
- 67.74 deg, intensity 12.4
- 56.10 deg, intensity 11.1

---

Entry 8:
The following is a computed powder diffractogram of NaZnBr3O5. It was derived from DFT lattice parameters and positions (PBE), using Cu Kα (λ = 1.5418 Å).
Intensities are scaled so that the largest is 100.

Cell and atoms:
```
10
Lattice="3.237 1.869 6.173 -3.237 1.869 6.173 0.000 -3.738 6.173" Properties=species:S:1:pos:R:3 pbc="T T T"
Na 0.000 0.000 0.000
Zn 0.000 0.000 9.993
Br -2.336 -0.015 9.751
Br 1.181 -2.015 9.751
Br 1.155 2.030 9.751
O 0.000 0.000 4.881
O -0.576 -1.227 12.748
O -0.775 1.112 12.748
O 0.000 0.000 13.054
O 1.351 0.115 12.748
```

Peak list (10 most intense, 2θ from 5° to 70°, by intensity)
- 31.20 deg, intensity 100.0
- 14.35 deg, intensity 95.2
- 28.93 deg, intensity 48.9
- 27.56 deg, intensity 37.8
- 40.37 deg, intensity 33.8
- 51.06 deg, intensity 29.2
- 48.72 deg, intensity 26.9
- 57.66 deg, intensity 23.8
- 52.71 deg, intensity 21.9
- 37.54 deg, intensity 21.1

---

Entry 9:
The following is a computed powder diffractogram of Pr2SiS5. It was derived from DFT lattice parameters and positions (PBE), using Cu Kα (λ = 1.5418 Å).
Intensities are scaled so that the largest is 100.

Cell and atoms:
```
32
Lattice="8.757 0.000 0.000 0.000 8.311 0.000 -0.596 0.000 12.209" Properties=species:S:1:pos:R:3 pbc="T T T"
Pr -0.193 0.660 4.146
Pr -0.492 3.496 10.251
Pr 1.838 4.761 6.206
Pr 2.136 7.705 0.102
Pr 6.025 0.606 12.108
Pr 6.323 3.549 6.003
Pr 8.653 4.815 1.959
Pr 8.354 7.651 8.063
Si 3.885 1.771 3.503
Si 3.587 2.384 9.607
Si 4.574 5.926 2.602
Si 4.276 6.540 8.707
S -0.297 0.705 10.575
S 0.002 3.451 4.471
S 0.960 5.021 11.961
S 1.258 7.445 5.856
S 2.207 1.391 2.383
S 1.909 2.764 8.488
S 2.679 5.580 3.297
S 2.381 6.886 9.402
S 3.350 1.692 11.527
S 3.648 2.463 5.422
S 4.513 5.848 6.787
S 4.811 6.618 0.682
S 5.780 1.424 2.808
S 5.482 2.731 8.912
S 6.252 5.546 3.721
S 5.954 6.920 9.826
S 6.903 0.866 6.354
S 7.201 3.290 0.249
S 8.159 4.860 7.739
S 8.457 7.606 1.634
```

Peak list (10 most intense, 2θ from 5° to 70°, by intensity)
- 24.38 deg, intensity 100.0
- 10.11 deg, intensity 74.5
- 37.30 deg, intensity 63.6
- 23.71 deg, intensity 47.0
- 23.82 deg, intensity 38.9
- 44.72 deg, intensity 35.9
- 21.06 deg, intensity 35.3
- 12.89 deg, intensity 33.7
- 22.60 deg, intensity 33.7
- 27.82 deg, intensity 33.5